[1]
The following is a computed X-ray diffraction stick pattern of EuBeO3. It was derived from a structure optimized by DFT (GGA-PBE), using CuKα.
No peak broadening, texture or thermal motion is included.

Crystal structure
```
EuBeO3
1.0
3.643 0.000 0.000
0.000 3.643 0.000
0.000 0.000 3.643
Eu Be O
1 1 3
Direct
0.000 0.000 0.000 Eu
0.500 0.500 0.500 Be
0.000 0.500 0.500 O
0.500 0.000 0.500 O
0.500 0.500 0.000 O
```

Principal peaks in the range 15° ≤ 2θ ≤ 90°, most intense first:
| two_theta | I/Imax |
| --- | --- |
| 34.83 | 100 |
| 24.44 | 99 |
| 43.01 | 69 |
| 56.49 | 44 |
| 62.45 | 38 |
| 50.08 | 36 |
| 89.16 | 23 |
| 78.82 | 22 |
| 73.54 | 21 |
| 84.02 | 18 |

***

[2]
The following is a computed X-ray diffraction stick pattern of Al2IrRu. It was derived from a structure optimized by DFT (GGA-PBE), using CuKα.
No peak broadening, texture or thermal motion is included.

Crystal structure
```
Al2IrRu
1.0
0.000 3.010 3.010
3.010 0.000 3.010
3.010 3.010 0.000
Al Ir Ru
2 1 1
Direct
0.250 0.250 0.250 Al
0.750 0.750 0.750 Al
0.000 0.000 0.000 Ir
0.500 0.500 0.500 Ru
```

Principal peaks in the range 15° ≤ 2θ ≤ 90°, most intense first:
| two_theta | I/Imax |
| --- | --- |
| 42.48 | 100 |
| 29.68 | 62 |
| 77.72 | 34 |
| 69.89 | 22 |
| 52.68 | 17 |
| 61.63 | 17 |
| 25.63 | 15 |
| 50.27 | 8 |
| 67.87 | 3 |
| 83.44 | 3 |

***

[3]
The following is a computed X-ray diffraction stick pattern of Nb3NiSe6. It was derived from a structure optimized by DFT (GGA-PBE), using CuKα.
No peak broadening, texture or thermal motion is included.

Crystal structure
```
Nb3NiSe6
1.0
6.060 0.000 0.000
-3.030 5.248 0.000
0.000 0.000 12.530
Nb Ni Se
6 2 12
Direct
0.000 0.000 0.000 Nb
0.000 0.000 0.500 Nb
0.333 0.667 0.001 Nb
0.333 0.667 0.499 Nb
0.667 0.333 0.501 Nb
0.667 0.333 0.999 Nb
0.333 0.667 0.750 Ni
0.667 0.333 0.250 Ni
0.002 0.333 0.367 Se
0.002 0.669 0.133 Se
0.331 0.333 0.133 Se
0.331 0.998 0.367 Se
0.333 0.002 0.633 Se
0.333 0.331 0.867 Se
0.667 0.669 0.367 Se
0.667 0.998 0.133 Se
0.669 0.002 0.867 Se
0.669 0.667 0.633 Se
0.998 0.331 0.633 Se
0.998 0.667 0.867 Se
```

Principal peaks in the range 15° ≤ 2θ ≤ 90°, most intense first:
| two_theta | I/Imax |
| --- | --- |
| 41.46 | 100 |
| 30.35 | 53 |
| 52.29 | 50 |
| 36.64 | 46 |
| 32.83 | 34 |
| 82.70 | 24 |
| 68.84 | 21 |
| 60.03 | 14 |
| 58.97 | 10 |
| 47.06 | 9 |
| 65.54 | 8 |
| 70.18 | 8 |

***

[4]
The following is a computed X-ray diffraction stick pattern of TaNiAs. It was derived from a structure optimized by DFT (GGA-PBE), using CuKα.
No peak broadening, texture or thermal motion is included.

Crystal structure
```
TaNiAs
1.0
6.291 0.000 0.000
0.000 3.703 0.000
0.000 0.000 7.302
Ta Ni As
4 4 4
Direct
0.019 0.250 0.161 Ta
0.481 0.750 0.661 Ta
0.519 0.250 0.339 Ta
0.981 0.750 0.839 Ta
0.157 0.250 0.572 Ni
0.343 0.750 0.072 Ni
0.657 0.250 0.928 Ni
0.843 0.750 0.428 Ni
0.214 0.750 0.376 As
0.286 0.250 0.876 As
0.714 0.750 0.124 As
0.786 0.250 0.624 As
```

Principal peaks in the range 15° ≤ 2θ ≤ 90°, most intense first:
| two_theta | I/Imax |
| --- | --- |
| 37.44 | 100 |
| 39.57 | 83 |
| 39.71 | 28 |
| 49.22 | 27 |
| 44.98 | 22 |
| 85.58 | 16 |
| 18.62 | 15 |
| 65.01 | 13 |
| 27.00 | 12 |
| 68.87 | 12 |
| 73.37 | 12 |
| 58.06 | 11 |

***

[5]
The following is a computed X-ray diffraction stick pattern of TmAlGe. It was derived from a structure optimized by DFT (GGA-PBE), using CuKα.
No peak broadening, texture or thermal motion is included.

Crystal structure
```
TmAlGe
1.0
2.030 -5.175 0.000
2.030 5.175 0.000
0.000 0.000 5.721
Tm Al Ge
2 2 2
Direct
0.190 0.810 0.750 Tm
0.810 0.190 0.250 Tm
0.500 0.500 0.000 Al
0.500 0.500 0.500 Al
0.107 0.893 0.250 Ge
0.893 0.107 0.750 Ge
```

Principal peaks in the range 15° ≤ 2θ ≤ 90°, most intense first:
| two_theta | I/Imax |
| --- | --- |
| 34.11 | 100 |
| 28.30 | 86 |
| 37.66 | 67 |
| 38.18 | 67 |
| 31.27 | 66 |
| 39.51 | 65 |
| 23.54 | 50 |
| 46.94 | 46 |
| 44.64 | 39 |
| 60.16 | 35 |
| 17.14 | 35 |
| 35.87 | 34 |